# 1
Cs4Rb5Na3: simulated powder X-ray diffraction pattern (λ = 1.5418 Å (Cu Kα)), based on a DFT-relaxed cell (GGA-PBE, Alexandria).
Neutral-atom scattering factors, no anomalous dispersion.

Peak list (10 most intense, 2θ from 15° to 90°, by angle)
2θ 18.45, intensity 21
2θ 19.92, intensity 19
2θ 20.04, intensity 14
2θ 20.75, intensity 50
2θ 20.85, intensity 14
2θ 21.14, intensity 14
2θ 21.62, intensity 100
2θ 23.02, intensity 23
2θ 30.21, intensity 21
2θ 37.87, intensity 19

```
12
Lattice="8.863 -4.118 0.000 8.863 4.118 0.000 -4.778 0.000 14.266" Properties=species:S:1:pos:R:3 pbc="T T T"
Cs -0.666 0.000 4.393
Cs 0.974 0.000 10.411
Cs 11.974 0.000 3.855
Cs 13.614 0.000 9.873
Rb 3.855 0.000 1.034
Rb 4.077 0.000 6.623
Rb 8.863 0.000 0.000
Rb 8.871 0.000 7.643
Rb 9.093 0.000 13.232
Na 0.000 0.000 0.000
Na 7.024 0.000 3.684
Na 5.924 0.000 10.582
```

---

# 2
Cs2Rb17Na2: simulated powder X-ray diffraction pattern (λ = 1.5418 Å (Cu Kα)), based on a DFT-relaxed cell (GGA-PBE, Alexandria).
Neutral-atom scattering factors, no anomalous dispersion.

Peak list (10 most intense, 2θ from 15° to 90°, by angle)
2θ 18.63, intensity 22
2θ 21.27, intensity 56
2θ 21.48, intensity 100
2θ 21.56, intensity 59
2θ 21.78, intensity 27
2θ 23.92, intensity 23
2θ 24.09, intensity 59
2θ 30.57, intensity 18
2θ 37.51, intensity 17
2θ 37.79, intensity 21

```
21
Lattice="9.675 -8.237 0.000 9.675 8.237 0.000 -2.449 0.000 12.385" Properties=species:S:1:pos:R:3 pbc="T T T"
Cs 2.768 0.000 4.329
Cs 14.132 0.000 8.055
Rb 4.837 4.118 0.000
Rb 9.675 5.708 0.000
Rb 7.135 4.219 4.249
Rb 1.210 0.000 10.057
Rb 5.491 2.407 9.266
Rb 9.765 4.219 8.136
Rb 7.377 0.000 1.278
Rb 11.409 2.407 3.119
Rb 4.837 -4.118 0.000
Rb 8.450 0.000 6.192
Rb 5.491 -2.407 9.266
Rb 9.523 0.000 11.107
Rb 7.135 -4.219 4.249
Rb 11.409 -2.407 3.119
Rb 15.691 0.000 2.327
Rb 9.765 -4.219 8.136
Rb 9.675 -5.708 0.000
Na 3.613 4.118 6.192
Na 3.613 -4.118 6.192
```